(1)
Diffraction record for Ti3CoCu2S8. The PXRD pattern is calculated, not measured: it uses a DFT-relaxed cell (GGA-PBE, the Materials Project) and copper Kα.
Kinematic intensities with the Lorentz-polarization factor, no thermal factor.

Most intense lines, 2θ = 10–80°, sorted by position:
2theta, I_rel
25.30, 30
25.58, 46
29.72, 53
29.95, 100
30.07, 40
36.29, 77
47.74, 44
47.90, 27
51.95, 86
52.55, 81

Unit cell a=7.041 b=7.041 c=7.041 alpha=59.29 beta=59.29 gamma=59.29
Fractional positions:
Ti 0.000 0.500 0.500
Ti 0.500 0.000 0.500
Ti 0.500 0.500 0.000
Co 0.500 0.500 0.500
Cu 0.124 0.124 0.124
Cu 0.876 0.876 0.876
S 0.254 0.254 0.254
S 0.263 0.263 0.728
S 0.263 0.728 0.263
S 0.272 0.737 0.737
S 0.728 0.263 0.263
S 0.737 0.272 0.737
S 0.737 0.737 0.272
S 0.746 0.746 0.746

---

(2)
Diffraction record for NbNiAs2. The PXRD pattern is calculated, not measured: it uses a DFT-relaxed cell (GGA-PBE, the Materials Project) and copper Kα.
Kinematic intensities with the Lorentz-polarization factor, no thermal factor.

Most intense lines, 2θ = 10–80°, sorted by position:
2theta, I_rel
32.56, 32
36.83, 24
40.91, 18
41.58, 100
43.06, 11
51.64, 20
53.40, 19
62.39, 10
72.56, 9
77.48, 12

Unit cell a=5.640 b=3.540 c=12.598 alpha=90.00 beta=90.00 gamma=90.00
Fractional positions:
Nb 0.010 0.250 0.172
Nb 0.490 0.750 0.672
Nb 0.510 0.250 0.328
Nb 0.990 0.750 0.828
Ni 0.021 0.250 0.413
Ni 0.479 0.750 0.913
Ni 0.521 0.250 0.087
Ni 0.979 0.750 0.587
As 0.146 0.250 0.690
As 0.196 0.250 0.963
As 0.304 0.750 0.463
As 0.354 0.750 0.190
As 0.646 0.250 0.810
As 0.696 0.250 0.537
As 0.804 0.750 0.037
As 0.854 0.750 0.310

---

(3)
Diffraction record for BMoW. The PXRD pattern is calculated, not measured: it uses a DFT-relaxed cell (GGA-PBE, the Materials Project) and copper Kα.
Kinematic intensities with the Lorentz-polarization factor, no thermal factor.

Most intense lines, 2θ = 10–80°, sorted by position:
2theta, I_rel
22.61, 31
32.10, 35
37.67, 44
40.73, 100
40.90, 65
44.38, 14
50.30, 24
70.07, 20
72.53, 14
72.75, 20

Unit cell a=5.578 b=4.621 c=4.600 alpha=74.44 beta=52.95 gamma=52.61
Fractional positions:
B 0.250 0.250 0.250
B 0.750 0.750 0.750
Mo 0.169 0.831 0.169
Mo 0.831 0.169 0.831
W 0.331 0.331 0.669
W 0.669 0.669 0.331

---

(4)
Diffraction record for Zn3Si4Ag2O14. The PXRD pattern is calculated, not measured: it uses a DFT-relaxed cell (GGA-PBE, the Materials Project) and copper Kα.
Kinematic intensities with the Lorentz-polarization factor, no thermal factor.

Most intense lines, 2θ = 10–80°, sorted by position:
2theta, I_rel
12.09, 100
12.98, 44
18.82, 54
27.60, 63
27.80, 62
30.78, 79
31.39, 38
31.51, 39
36.83, 46
38.04, 41

Unit cell a=9.717 b=9.717 c=10.309 alpha=121.61 beta=121.61 gamma=46.75
Fractional positions:
Zn 0.117 0.883 0.750
Zn 0.224 0.448 0.626
Zn 0.448 0.224 0.126
Zn 0.552 0.776 0.874
Zn 0.776 0.552 0.374
Zn 0.883 0.117 0.250
Si 0.014 0.221 0.109
Si 0.074 0.542 0.294
Si 0.221 0.014 0.609
Si 0.458 0.926 0.206
Si 0.542 0.074 0.794
Si 0.779 0.986 0.391
Si 0.926 0.458 0.706
Si 0.986 0.779 0.891
Ag 0.276 0.724 0.250
Ag 0.500 0.500 0.000
Ag 0.500 0.500 0.500
Ag 0.724 0.276 0.750
O 0.001 0.411 0.131
O 0.025 0.878 0.083
O 0.052 0.542 0.439
O 0.070 0.228 0.710
O 0.122 0.975 0.417
O 0.146 0.703 0.813
O 0.228 0.070 0.210
O 0.295 0.443 0.290
O 0.297 0.854 0.687
O 0.398 0.464 0.096
O 0.411 0.001 0.631
O 0.443 0.295 0.790
O 0.458 0.948 0.061
O 0.464 0.398 0.596
O 0.536 0.602 0.404
O 0.542 0.052 0.939
O 0.557 0.705 0.210
O 0.589 0.999 0.369
O 0.602 0.536 0.904
O 0.703 0.146 0.313
O 0.705 0.557 0.710
O 0.772 0.930 0.790
O 0.854 0.297 0.187
O 0.878 0.025 0.583
O 0.930 0.772 0.290
O 0.948 0.458 0.561
O 0.975 0.122 0.917
O 0.999 0.589 0.869

---

(5)
Diffraction record for Cs2Se. The PXRD pattern is calculated, not measured: it uses a DFT-relaxed cell (GGA-PBE, the Materials Project) and copper Kα.
Kinematic intensities with the Lorentz-polarization factor, no thermal factor.

Most intense lines, 2θ = 10–80°, sorted by position:
2theta, I_rel
25.70, 56
27.59, 82
27.70, 100
29.58, 25
32.96, 34
36.58, 20
42.26, 29
46.42, 24
51.58, 28
55.67, 25

Unit cell a=5.435 b=12.065 c=8.473 alpha=90.00 beta=90.00 gamma=90.00
Fractional positions:
Cs 0.000 0.000 0.000
Cs 0.000 0.000 0.500
Cs 0.000 0.307 0.250
Cs 0.000 0.693 0.750
Cs 0.500 0.193 0.750
Cs 0.500 0.500 0.000
Cs 0.500 0.500 0.500
Cs 0.500 0.807 0.250
Se 0.000 0.378 0.750
Se 0.000 0.622 0.250
Se 0.500 0.122 0.250
Se 0.500 0.878 0.750

---

(6)
Diffraction record for Pr2CdPd2. The PXRD pattern is calculated, not measured: it uses a DFT-relaxed cell (GGA-PBE, the Materials Project) and copper Kα.
Kinematic intensities with the Lorentz-polarization factor, no thermal factor.

Most intense lines, 2θ = 10–80°, sorted by position:
2theta, I_rel
32.01, 34
32.15, 10
34.03, 100
36.07, 41
45.69, 16
53.22, 13
59.55, 19
64.78, 11
68.37, 11
76.94, 9

Unit cell a=7.874 b=7.874 c=3.972 alpha=90.00 beta=90.00 gamma=90.00
Fractional positions:
Pr 0.175 0.325 0.000
Pr 0.325 0.825 0.000
Pr 0.675 0.175 0.000
Pr 0.825 0.675 0.000
Cd 0.000 0.000 0.500
Cd 0.500 0.500 0.500
Pd 0.127 0.627 0.500
Pd 0.373 0.127 0.500
Pd 0.627 0.873 0.500
Pd 0.873 0.373 0.500

---

(7)
Diffraction record for RbNdSe2O11. The PXRD pattern is calculated, not measured: it uses a DFT-relaxed cell (GGA-PBE, the Materials Project) and copper Kα.
Kinematic intensities with the Lorentz-polarization factor, no thermal factor.

Most intense lines, 2θ = 10–80°, sorted by position:
2theta, I_rel
16.41, 100
16.56, 39
18.91, 39
24.94, 48
25.67, 52
25.89, 30
26.88, 69
27.61, 36
30.50, 34
31.47, 28

Unit cell a=5.723 b=7.275 c=14.684 alpha=95.46 beta=100.16 gamma=106.76
Fractional positions:
Rb 0.195 0.225 0.112
Rb 0.805 0.775 0.888
Nd 0.452 0.694 0.333
Nd 0.548 0.306 0.667
Se 0.157 0.407 0.857
Se 0.472 0.210 0.413
Se 0.528 0.790 0.587
Se 0.843 0.593 0.143
O 0.081 0.675 0.409
O 0.092 0.217 0.912
O 0.114 0.583 0.210
O 0.214 0.717 0.559
O 0.218 0.947 0.763
O 0.289 0.620 0.925
O 0.342 0.379 0.781
O 0.352 0.184 0.508
O 0.363 0.999 0.338
O 0.366 0.368 0.356
O 0.385 0.974 0.834
O 0.615 0.026 0.166
O 0.634 0.632 0.644
O 0.637 0.001 0.662
O 0.648 0.816 0.492
O 0.658 0.621 0.219
O 0.711 0.380 0.075
O 0.782 0.053 0.237
O 0.786 0.283 0.441
O 0.886 0.417 0.790
O 0.908 0.783 0.088
O 0.919 0.325 0.591

---

(8)
Diffraction record for MgTe4MoW3S4. The PXRD pattern is calculated, not measured: it uses a DFT-relaxed cell (GGA-PBE, the Materials Project) and copper Kα.
Kinematic intensities with the Lorentz-polarization factor, no thermal factor.

Most intense lines, 2θ = 10–80°, sorted by position:
2theta, I_rel
10.10, 100
12.13, 17
30.64, 24
30.91, 9
32.33, 11
34.84, 43
37.00, 21
40.87, 18
40.96, 18
54.45, 17

Unit cell a=3.370 b=3.370 c=43.780 alpha=90.16 beta=90.16 gamma=60.00
Fractional positions:
Mg 0.000 0.000 0.000
Te 0.001 0.001 0.759
Te 0.332 0.332 0.236
Te 0.334 0.334 0.323
Te 0.999 0.999 0.673
Mo 0.333 0.333 0.096
W 0.000 0.000 0.280
W 0.002 0.002 0.896
W 0.333 0.333 0.716
S 0.001 0.001 0.130
S 0.334 0.334 0.861
S 0.336 0.336 0.931
S 0.999 0.999 0.061